(1)
# Fe2Te4H3ClO12
Computed X-ray powder pattern, Cu Kα (weighted mean of Kα1 and Kα2). Input: the GGA+U geometry in Alexandria.
Intensities are scaled so that the largest is 100.

Most intense lines, 10 to 90 degrees two-theta, in order of rising 2θ:
2θ (°)	d/Å	I/Imax
20.4	4.359	94
24.6	3.625	39
25.5	3.497	59
26.1	3.419	100
27.4	3.256	42
28.0	3.191	40
28.9	3.086	50
31.0	2.880	44
32.6	2.749	33
33.2	2.697	43

Cell and atoms:
Lattice parameters (Å, degrees): 5.227 6.728 9.043 73.21 79.45 76.94
Fractional positions:
Fe1 0.223 0.142 0.445
Fe2 0.777 0.858 0.555
Te1 0.174 0.831 0.831
Te2 0.372 0.661 0.312
Te3 0.628 0.339 0.688
Te4 0.826 0.169 0.169
H1 0.051 0.533 0.211
H2 0.500 0.500 0.000
H3 0.949 0.467 0.789
Cl1 0.500 0.000 0.000
O1 0.034 0.290 0.262
O2 0.089 0.682 0.190
O3 0.131 0.867 0.413
O4 0.305 0.406 0.463
O5 0.393 0.959 0.645
O6 0.413 0.569 0.876
O7 0.587 0.431 0.124
O8 0.607 0.041 0.355
O9 0.695 0.594 0.537
O10 0.869 0.133 0.587
O11 0.911 0.318 0.810
O12 0.966 0.710 0.738

(2)
# Fe2Te4HClO12
Computed X-ray powder pattern, Cu Kα (weighted mean of Kα1 and Kα2). Input: the GGA+U geometry in Alexandria.
Intensities are scaled so that the largest is 100.

Most intense lines, 10 to 90 degrees two-theta, in order of rising 2θ:
2θ (°)	d/Å	I/Imax
14.5	6.102	38
19.1	4.641	100
19.7	4.498	61
26.4	3.375	81
27.0	3.304	48
27.2	3.281	96
28.4	3.146	35
28.7	3.113	37
30.2	2.958	69
33.1	2.708	47

Cell and atoms:
Lattice parameters (Å, degrees): 5.275 6.635 9.292 75.69 84.22 70.81
Fractional positions:
Fe1 0.197 0.134 0.433
Fe2 0.803 0.866 0.567
Te1 0.234 0.884 0.822
Te2 0.339 0.651 0.309
Te3 0.661 0.349 0.691
Te4 0.766 0.116 0.178
H1 0.500 0.500 0.000
Cl1 0.500 0.000 0.000
O1 0.026 0.214 0.238
O2 0.038 0.796 0.175
O3 0.157 0.828 0.454
O4 0.248 0.411 0.426
O5 0.405 0.994 0.641
O6 0.489 0.585 0.867
O7 0.511 0.415 0.133
O8 0.595 0.006 0.359
O9 0.752 0.589 0.574
O10 0.843 0.172 0.546
O11 0.962 0.204 0.825
O12 0.974 0.786 0.762